# 1
Structure and theoretical powder XRD pattern of AlOs (a crystal structure in Alexandria, relaxed with GGA-PBE; Cu Kα, 1.54184 Å).
No peak broadening, texture or thermal motion is included.

Atomic structure:
```
data_AlOs
_chemical_formula_sum 'Al2 Os2'
_space_group_name_H-M_alt 'P -3 m 1'
_space_group_IT_number 164
_space_group_name_Hall '-P 3 2"'
_cell_length_a 2.8108
_cell_length_b 2.8108
_cell_length_c 8.5813
_cell_angle_alpha 90.00
_cell_angle_beta 90.00
_cell_angle_gamma 120.00
loop_
_atom_site_label
_atom_site_fract_x
_atom_site_fract_y
_atom_site_fract_z
Al1 0.3333 0.6667 0.1374
Os1 0.3333 0.6667 0.6237
```

Principal peaks in the range 5° ≤ 2θ ≤ 70°, by angle:
two_theta, Rel. int.
10.31, 100.0
36.93, 13.4
38.44, 26.3
42.12, 12.3
42.71, 53.6
49.15, 14.6
57.24, 7.5
66.53, 9.7

# 2
Structure and theoretical powder XRD pattern of Al4Os5 (a crystal structure in Alexandria, relaxed with GGA-PBE; Cu Kα, 1.54184 Å).
No peak broadening, texture or thermal motion is included.

Atomic structure:
```
data_Al4Os5
_chemical_formula_sum 'Al8 Os10'
_space_group_name_H-M_alt 'P 63/m c m'
_space_group_IT_number 193
_space_group_name_Hall '-P 6c 2'
_cell_length_a 7.6124
_cell_length_b 7.6124
_cell_length_c 5.0816
_cell_angle_alpha 90.00
_cell_angle_beta 90.00
_cell_angle_gamma 120.00
loop_
_atom_site_label
_atom_site_fract_x
_atom_site_fract_y
_atom_site_fract_z
Al1 0.0000 0.0000 0.0000
Al2 0.0000 0.3772 0.2500
Os1 0.0000 0.2940 0.7500
Os2 0.3333 0.6667 0.0000
```

Principal peaks in the range 5° ≤ 2θ ≤ 70°, by angle:
two_theta, Rel. int.
27.05, 23.4
29.32, 86.2
36.04, 17.7
40.31, 26.8
41.07, 98.4
42.79, 100.0
60.81, 31.9
67.74, 20.9

# 3
Structure and theoretical powder XRD pattern of Al2Os (a crystal structure in Alexandria, relaxed with GGA-PBE; Cu Kα, 1.54184 Å).
No peak broadening, texture or thermal motion is included.

Atomic structure:
```
data_Al2Os
_chemical_formula_sum 'Al4 Os2'
_space_group_name_H-M_alt 'I 4/m m m'
_space_group_IT_number 139
_space_group_name_Hall '-I 4 2'
_cell_length_a 3.180
_cell_length_b 3.180
_cell_length_c 8.333
_cell_angle_alpha 90.00
_cell_angle_beta 90.00
_cell_angle_gamma 90.00
loop_
_atom_site_label
_atom_site_fract_x
_atom_site_fract_y
_atom_site_fract_z
Al1 0.000 0.000 0.162
Os1 0.000 0.000 0.500
```

Principal peaks in the range 5° ≤ 2θ ≤ 70°, by angle:
two_theta, Rel. int.
21.32, 60.8
30.08, 100.0
40.11, 54.1
43.25, 87.2
45.86, 34.1
58.01, 18.5
62.97, 14.2
66.73, 21.5

# 4
Structure and theoretical powder XRD pattern of AlOs3 (a crystal structure in Alexandria, relaxed with GGA-PBE; Cu Kα, 1.54184 Å).
No peak broadening, texture or thermal motion is included.

Atomic structure:
```
data_AlOs3
_chemical_formula_sum 'Al2 Os6'
_space_group_name_H-M_alt 'C 1 2/m 1'
_space_group_IT_number 12
_space_group_name_Hall '-C 2y'
_cell_length_a 9.012
_cell_length_b 2.766
_cell_length_c 4.650
_cell_angle_alpha 90.00
_cell_angle_beta 99.15
_cell_angle_gamma 90.00
loop_
_atom_site_label
_atom_site_fract_x
_atom_site_fract_y
_atom_site_fract_z
Al1 0.000 0.000 0.000
Os1 0.000 0.500 0.500
Os2 0.244 0.000 0.751
```

Principal peaks in the range 5° ≤ 2θ ≤ 70°, by angle:
two_theta, Rel. int.
19.33, 22.4
19.96, 21.0
40.18, 100.0
40.56, 48.1
41.29, 46.2
47.09, 63.4
47.36, 31.4
68.49, 20.7

What did the second record say?
Structure and theoretical powder XRD pattern of Al4Os5 (a crystal structure in Alexandria, relaxed with GGA-PBE; Cu Kα, 1.54184 Å).
No peak broadening, texture or thermal motion is included.

Atomic structure:
```
data_Al4Os5
_chemical_formula_sum 'Al8 Os10'
_space_group_name_H-M_alt 'P 63/m c m'
_space_group_IT_number 193
_space_group_name_Hall '-P 6c 2'
_cell_length_a 7.6124
_cell_length_b 7.6124
_cell_length_c 5.0816
_cell_angle_alpha 90.00
_cell_angle_beta 90.00
_cell_angle_gamma 120.00
loop_
_atom_site_label
_atom_site_fract_x
_atom_site_fract_y
_atom_site_fract_z
Al1 0.0000 0.0000 0.0000
Al2 0.0000 0.3772 0.2500
Os1 0.0000 0.2940 0.7500
Os2 0.3333 0.6667 0.0000
```

Principal peaks in the range 5° ≤ 2θ ≤ 70°, by angle:
two_theta, Rel. int.
27.05, 23.4
29.32, 86.2
36.04, 17.7
40.31, 26.8
41.07, 98.4
42.79, 100.0
60.81, 31.9
67.74, 20.9

What is the formula in the fourth record?
AlOs3